Calculated powder XRD pattern
Compound: Pm6InGe3
Radiation: Cu Kα (λ = 1.5418 Å)
Structure: a DFT-relaxed cell (GGA-PBE, Alexandria)
Lines closer than 0.1° are merged.

Structure:
a b c (Å): 8.493 8.493 7.734
angles (deg): 90.00 90.00 90.93
Sites, in units of the cell vectors:
Pm  0.021  0.497  0.273
Pm  0.107  0.893  0.500
Pm  0.159  0.841  0.010
Pm  0.328  0.372  0.993
Pm  0.372  0.328  0.493
Pm  0.497  0.021  0.773
Pm  0.503  0.979  0.273
Pm  0.628  0.672  0.993
Pm  0.672  0.628  0.493
Pm  0.841  0.159  0.510
Pm  0.893  0.107  0.000
Pm  0.979  0.503  0.773
In  0.334  0.666  0.684
In  0.666  0.334  0.184
Ge  0.148  0.180  0.740
Ge  0.180  0.148  0.240
Ge  0.344  0.656  0.285
Ge  0.656  0.344  0.785
Ge  0.820  0.852  0.740
Ge  0.852  0.820  0.240

The 8 most intense peaks (10° ≤ 2θ ≤ 90°), by intensity:
d [Å]	I_rel
2.700	100.0
2.719	45.9
2.672	31.4
3.259	21.9
3.243	19.8
1.861	12.8
1.933	12.5
2.859	12.1